(1)
For NbBi7O13, DFT lattice parameters and positions (GGA-PBE) gives the calculated powder diffraction line list in this record (λ = 1.5418 Å (Cu Kα)).
Lines closer than 0.1° are merged.

Atomic structure:
```
data_NbBi7O13
_cell_length_a 3.928
_cell_length_b 3.968
_cell_length_c 22.639
_cell_angle_alpha 90.18
_cell_angle_beta 91.16
_cell_angle_gamma 91.06
_space_group_name_H-M_alt 'P 1'
_space_group_IT_number 1
loop_
_space_group_symop_operation_xyz
'x,y,z'
loop_
_atom_site_label
_atom_site_fract_x
_atom_site_fract_y
_atom_site_fract_z
Nb1 0.000 0.000 0.000
Bi1 0.050 0.076 0.770
Bi2 0.327 0.699 0.122
Bi3 0.468 0.595 0.383
Bi4 0.470 0.607 0.632
Bi5 0.535 0.545 0.883
Bi6 0.996 0.160 0.518
Bi7 0.997 0.088 0.269
O1 0.036 0.533 0.825
O2 0.058 0.560 0.963
O3 0.213 0.089 0.367
O4 0.226 0.590 0.291
O5 0.228 0.608 0.467
O6 0.264 0.173 0.068
O7 0.326 0.110 0.195
O8 0.452 0.150 0.572
O9 0.502 0.250 0.710
O10 0.522 0.042 0.832
O11 0.550 0.054 0.965
O12 0.817 0.725 0.068
O13 0.958 0.611 0.582
```

Peak list (12 most intense, 10 to 90 degrees two-theta, most intense first)
| two_theta | I_rel |
| --- | --- |
| 27.4 | 100 |
| 27.5 | 52 |
| 27.9 | 41 |
| 32.4 | 29 |
| 31.6 | 28 |
| 46.3 | 23 |
| 31.8 | 22 |
| 45.7 | 20 |
| 45.5 | 17 |
| 53.9 | 14 |
| 45.1 | 13 |
| 54.5 | 11 |

(2)
For ZrNiAs, DFT lattice parameters and positions (GGA-PBE) gives the calculated powder diffraction line list in this record (λ = 1.5418 Å (Cu Kα)).
Lines closer than 0.1° are merged.

Atomic structure:
```
data_ZrNiAs
_cell_length_a 6.496
_cell_length_b 3.902
_cell_length_c 7.337
_cell_angle_alpha 90.00
_cell_angle_beta 90.00
_cell_angle_gamma 90.00
_space_group_name_H-M_alt 'P n m a'
_space_group_IT_number 62
loop_
_space_group_symop_operation_xyz
'x,y,z'
'-x,-y,-z'
'-x+1/2,-y,z+1/2'
'x+1/2,y,-z+1/2'
'x+1/2,-y+1/2,-z+1/2'
'-x+1/2,y+1/2,z+1/2'
'-x,y+1/2,-z'
'x,-y+1/2,z'
loop_
_atom_site_label
_atom_site_fract_x
_atom_site_fract_y
_atom_site_fract_z
Zr1 0.013 0.250 0.189
Ni1 0.166 0.250 0.575
As1 0.217 0.750 0.396
```

Peak list (12 most intense, 10 to 90 degrees two-theta, most intense first)
| two_theta | I_rel |
| --- | --- |
| 38.1 | 100 |
| 43.6 | 77 |
| 36.3 | 64 |
| 46.6 | 39 |
| 37.0 | 28 |
| 71.6 | 22 |
| 39.4 | 16 |
| 65.7 | 15 |
| 60.9 | 13 |
| 82.6 | 11 |
| 80.6 | 11 |
| 62.6 | 10 |